The following is a simulated powder diffraction line list of Cs4Tl5Pb. It was derived from a cell relaxed with PBE, using copper Kα.

Crystal structure
Unit cell a=9.095 b=9.095 c=9.095 alpha=98.50 beta=98.50 gamma=134.77
Positions (direct):
Cs1 0.000 0.293 0.293
Cs2 0.000 0.707 0.707
Cs3 0.293 0.000 0.293
Cs4 0.707 0.000 0.707
Tl1 0.241 0.241 0.000
Tl2 0.346 0.346 0.690
Tl3 0.346 0.656 0.000
Tl4 0.656 0.346 0.000
Tl5 0.656 0.656 0.310
Pb1 0.763 0.763 0.000

Most intense lines, 2θ = 5–70°, low angle first:
10.54°, I = 619; 25.87°, I = 1000; 29.65°, I = 194; 31.98°, I = 439; 33.35°, I = 179; 35.06°, I = 299; 45.13°, I = 187; 53.40°, I = 155

The following is a simulated powder diffraction line list of Y4SiPSe2. It was derived from a cell relaxed with PBE, using copper Kα.

Crystal structure
Unit cell a=7.064 b=4.078 c=7.126 alpha=90.00 beta=109.24 gamma=90.00
Positions (direct):
Y1 0.244 0.000 0.231
Y2 0.255 0.500 0.766
Y3 0.745 0.500 0.234
Y4 0.756 0.000 0.769
Si1 0.500 0.000 0.000
P1 0.000 0.500 0.000
Se1 0.000 0.000 0.500
Se2 0.500 0.500 0.500

Most intense lines, 2θ = 5–70°, low angle first:
25.60°, I = 61; 26.74°, I = 88; 30.90°, I = 1000; 33.72°, I = 65; 44.11°, I = 349; 44.43°, I = 361; 55.10°, I = 185; 64.40°, I = 110

The following is a simulated powder diffraction line list of Pr8Tl. It was derived from a cell relaxed with PBE, using copper Kα.

Crystal structure
Unit cell a=6.321 b=6.321 c=8.962 alpha=90.09 beta=90.09 gamma=119.99
Positions (direct):
Pr1 0.166 0.834 0.000
Pr2 0.173 0.173 0.671
Pr3 0.174 0.500 0.329
Pr4 0.500 0.174 0.329
Pr5 0.500 0.826 0.671
Pr6 0.826 0.500 0.671
Pr7 0.827 0.827 0.329
Pr8 0.834 0.166 0.000
Tl1 0.500 0.500 0.000

Most intense lines, 2θ = 5–70°, low angle first:
29.96°, I = 1000; 34.73°, I = 508; 49.85°, I = 121; 49.98°, I = 240; 59.24°, I = 109; 59.36°, I = 251; 59.43°, I = 71; 62.30°, I = 93

The following is a simulated powder diffraction line list of Tl2Ag2F7. It was derived from a cell relaxed with PBE, using copper Kα.

Crystal structure
Unit cell a=5.804 b=5.804 c=5.750 alpha=90.00 beta=90.00 gamma=93.28
Positions (direct):
Tl1 0.230 0.770 0.000
Tl2 0.770 0.230 0.000
Ag1 0.234 0.234 0.500
Ag2 0.766 0.766 0.500
F1 0.000 0.000 0.236
F2 0.000 0.000 0.764
F3 0.000 0.500 0.230
F4 0.000 0.500 0.770
F5 0.500 0.000 0.230
F6 0.500 0.000 0.770
F7 0.500 0.500 0.500

Most intense lines, 2θ = 5–70°, low angle first:
26.19°, I = 1000; 27.23°, I = 778; 30.86°, I = 347; 31.11°, I = 218; 42.86°, I = 163; 44.39°, I = 576; 51.52°, I = 226; 53.28°, I = 262